For BaFeS, a cell relaxed with GGA-PBE gives the computed XRD peak list in this record (Cu Kα (weighted mean of Kα1 and Kα2)).

Structural model:
Unit cell a=3.822 b=3.822 c=9.760 alpha=90.00 beta=90.00 gamma=90.00
Fractional coordinates of all 6 atoms:
1 Ba 0.250 0.250 0.211
2 Ba 0.750 0.750 0.789
3 Fe 0.250 0.750 0.500
4 Fe 0.750 0.250 0.500
5 S 0.250 0.250 0.620
6 S 0.750 0.750 0.380

Top 6 peaks for 10 to 90 degrees two-theta, sorted by position:
d_spacing  I/Imax
3.558  1000
3.009  560
2.477  526
2.364  914
1.911  392
1.582  371

=====

For GaH13C4N2, a cell relaxed with GGA-PBE gives the computed XRD peak list in this record (Cu Kα (weighted mean of Kα1 and Kα2)).

Structural model:
Unit cell a=6.433 b=7.166 c=8.846 alpha=81.75 beta=73.55 gamma=76.64
Fractional coordinates of all 40 atoms:
1 Ga 0.048 0.089 0.125
2 Ga 0.952 0.911 0.875
3 H 0.093 0.239 0.393
4 H 0.141 0.838 0.471
5 H 0.159 0.592 0.546
6 H 0.180 0.535 0.063
7 H 0.188 0.238 0.670
8 H 0.211 0.638 0.225
9 H 0.215 0.376 0.814
10 H 0.294 0.077 0.124
11 H 0.348 0.712 0.028
12 H 0.349 0.128 0.805
13 H 0.452 0.788 0.772
14 H 0.466 0.843 0.568
15 H 0.478 0.601 0.652
16 H 0.522 0.399 0.348
17 H 0.534 0.157 0.432
18 H 0.548 0.212 0.228
19 H 0.651 0.872 0.195
20 H 0.652 0.288 0.972
21 H 0.706 0.923 0.876
22 H 0.785 0.624 0.186
23 H 0.789 0.362 0.775
24 H 0.812 0.762 0.330
25 H 0.820 0.465 0.937
26 H 0.841 0.408 0.454
27 H 0.859 0.162 0.529
28 H 0.907 0.761 0.607
29 C 0.088 0.742 0.579
30 C 0.195 0.669 0.102
31 C 0.198 0.232 0.793
32 C 0.397 0.752 0.675
33 C 0.603 0.248 0.325
34 C 0.802 0.768 0.207
35 C 0.805 0.331 0.898
36 C 0.912 0.258 0.421
37 N 0.001 0.824 0.095
38 N 0.159 0.779 0.711
39 N 0.841 0.221 0.289
40 N 0.999 0.176 0.905

Top 6 peaks for 10 to 90 degrees two-theta, sorted by position:
d_spacing  I/Imax
8.454  613
6.948  539
6.044  1000
5.661  429
5.160  389
5.094  398

=====

For Mg6SnC, a cell relaxed with GGA-PBE gives the computed XRD peak list in this record (Cu Kα (weighted mean of Kα1 and Kα2)).

Structural model:
Unit cell a=4.770 b=6.380 c=10.609 alpha=90.00 beta=90.00 gamma=90.00
Fractional coordinates of all 16 atoms:
1 Mg 0.000 0.000 0.000
2 Mg 0.000 0.000 0.491
3 Mg 0.000 0.229 0.236
4 Mg 0.000 0.271 0.736
5 Mg 0.000 0.500 0.500
6 Mg 0.000 0.500 0.991
7 Mg 0.000 0.729 0.736
8 Mg 0.000 0.771 0.236
9 Mg 0.500 0.249 0.409
10 Mg 0.500 0.251 0.909
11 Mg 0.500 0.749 0.909
12 Mg 0.500 0.751 0.409
13 Sn 0.500 0.000 0.660
14 Sn 0.500 0.500 0.160
15 C 0.500 0.000 0.163
16 C 0.500 0.500 0.663

Top 6 peaks for 10 to 90 degrees two-theta, sorted by position:
d_spacing  I/Imax
5.467  645
3.594  646
2.734  289
2.385  329
2.372  1000
2.318  448

=====

For SrIn8Rh2, a cell relaxed with GGA-PBE gives the computed XRD peak list in this record (Cu Kα (weighted mean of Kα1 and Kα2)).

Structural model:
Unit cell a=14.129 b=16.430 c=4.447 alpha=90.00 beta=90.00 gamma=90.00
Fractional coordinates of all 44 atoms:
1 Sr 0.158 0.181 0.000
2 Sr 0.342 0.681 0.000
3 Sr 0.658 0.319 0.000
4 Sr 0.842 0.819 0.000
5 In 0.000 0.000 0.000
6 In 0.000 0.500 0.500
7 In 0.021 0.867 0.500
8 In 0.050 0.317 0.500
9 In 0.100 0.746 0.000
10 In 0.160 0.456 0.000
11 In 0.166 0.622 0.500
12 In 0.170 0.011 0.500
13 In 0.240 0.823 0.500
14 In 0.260 0.323 0.500
15 In 0.330 0.511 0.500
16 In 0.334 0.122 0.500
17 In 0.340 0.956 0.000
18 In 0.400 0.246 0.000
19 In 0.450 0.817 0.500
20 In 0.479 0.367 0.500
21 In 0.500 0.000 0.500
22 In 0.500 0.500 0.000
23 In 0.521 0.633 0.500
24 In 0.550 0.183 0.500
25 In 0.600 0.754 0.000
26 In 0.660 0.044 0.000
27 In 0.666 0.878 0.500
28 In 0.670 0.489 0.500
29 In 0.740 0.677 0.500
30 In 0.760 0.177 0.500
31 In 0.830 0.989 0.500
32 In 0.834 0.378 0.500
33 In 0.840 0.544 0.000
34 In 0.900 0.254 0.000
35 In 0.950 0.683 0.500
36 In 0.979 0.133 0.500
37 Rh 0.035 0.595 0.000
38 Rh 0.154 0.903 0.000
39 Rh 0.346 0.403 0.000
40 Rh 0.465 0.095 0.000
41 Rh 0.535 0.905 0.000
42 Rh 0.654 0.597 0.000
43 Rh 0.846 0.097 0.000
44 Rh 0.965 0.405 0.000

Top 6 peaks for 10 to 90 degrees two-theta, sorted by position:
d_spacing  I/Imax
2.951  620
2.784  891
2.330  612
2.305  685
2.291  562
2.225  1000

=====

For Cs3Cr2I9, a cell relaxed with GGA-PBE gives the computed XRD peak list in this record (Cu Kα (weighted mean of Kα1 and Kα2)).

Structural model:
Unit cell a=8.281 b=8.281 c=20.832 alpha=90.00 beta=90.00 gamma=120.00
Fractional coordinates of all 28 atoms:
1 Cs 0.000 0.000 0.250
2 Cs 0.000 0.000 0.750
3 Cs 0.333 0.667 0.070
4 Cs 0.333 0.667 0.430
5 Cs 0.667 0.333 0.570
6 Cs 0.667 0.333 0.930
7 Cr 0.333 0.667 0.663
8 Cr 0.333 0.667 0.837
9 Cr 0.667 0.333 0.163
10 Cr 0.667 0.333 0.337
11 I 0.033 0.516 0.750
12 I 0.175 0.351 0.592
13 I 0.175 0.351 0.908
14 I 0.175 0.825 0.592
15 I 0.175 0.825 0.908
16 I 0.351 0.175 0.092
17 I 0.351 0.175 0.408
18 I 0.484 0.516 0.750
19 I 0.484 0.967 0.750
20 I 0.516 0.033 0.250
21 I 0.516 0.484 0.250
22 I 0.649 0.825 0.592
23 I 0.649 0.825 0.908
24 I 0.825 0.175 0.092
25 I 0.825 0.175 0.408
26 I 0.825 0.649 0.092
27 I 0.825 0.649 0.408
28 I 0.967 0.484 0.250

Top 6 peaks for 10 to 90 degrees two-theta, sorted by position:
d_spacing  I/Imax
3.472  520
3.391  796
3.186  1000
2.953  726
2.070  495
1.778  410